(1)
Simulated X-ray powder pattern of Sm5Sn4 for Cu Kα (weighted mean of Kα1 and Kα2), from DFT lattice parameters and positions (GGA-PBE).

Structural model:
Unit cell a=9.8775 b=9.8775 c=6.2746 alpha=90.00 beta=90.00 gamma=90.00
Space group I4/m (No. 87)
Symmetry-distinct sites (fractional):
1 Sm 0.0000 0.0000 0.0000 (multiplicity 2)
2 Sm 0.0986 0.7035 0.5000 (multiplicity 8)
3 Sn 0.0991 0.7016 0.0000 (multiplicity 8)

Peak list (12 most intense, 5 to 70 degrees two-theta, in order of falling intensity)
h k l, two_theta, d [Å], I_rel
3 1 2, 40.79, 2.212, 100
3 1 0, 28.58, 3.124, 86
0 0 2, 28.45, 3.137, 43
2 4 2, 50.54, 1.806, 36
6 2 2, 66.96, 1.398, 31
3 1 4, 66.73, 1.402, 16
1 2 1, 24.65, 3.612, 14
6 2 0, 59.16, 1.562, 11
0 0 4, 58.87, 1.569, 6
1 0 1, 16.74, 5.296, 5
1 1 0, 12.67, 6.984, 4
5 0 1, 48.30, 1.884, 4



(2)
Simulated X-ray powder pattern of CdNiOsRh2 for Cu Kα (weighted mean of Kα1 and Kα2), from DFT lattice parameters and positions (GGA-PBE).

Structural model:
Unit cell a=4.6625 b=4.6625 c=5.1345 alpha=90.00 beta=90.00 gamma=90.00
Space group P4/mmm (No. 123)
Symmetry-distinct sites (fractional):
1 Cd 0.0000 0.0000 0.0000 (multiplicity 1)
2 Ni 0.5000 0.5000 0.0000 (multiplicity 1)
3 Os 0.0000 0.0000 0.5000 (multiplicity 1)
4 Rh 0.0000 0.5000 0.5000 (multiplicity 2)

Peak list (12 most intense, 5 to 70 degrees two-theta, in order of falling intensity)
h k l, two_theta, d [Å], I_rel
2 0 0, 38.62, 2.331, 100
1 0 0, 19.03, 4.663, 98
2 0 2, 53.06, 1.726, 79
0 0 2, 34.95, 2.567, 66
0 0 1, 17.27, 5.134, 53
1 1 1, 32.27, 2.774, 42
2 2 2, 67.53, 1.387, 37
2 2 0, 55.77, 1.648, 34
1 0 1, 25.81, 3.452, 32
1 0 2, 40.10, 2.249, 30
2 1 0, 43.40, 2.085, 24
2 1 2, 56.89, 1.619, 22



(3)
Simulated X-ray powder pattern of Ce2TiS6 for Cu Kα (weighted mean of Kα1 and Kα2), from DFT lattice parameters and positions (GGA-PBE).

Structural model:
Unit cell a=6.1977 b=6.1977 c=11.8486 alpha=90.00 beta=90.00 gamma=90.00
Space group P4_2/mnm (No. 136)
Symmetry-distinct sites (fractional):
1 Ce 0.0000 0.0000 0.1710 (multiplicity 4)
2 Ti 0.0000 0.0000 0.5000 (multiplicity 2)
3 S 0.1881 0.1881 0.3531 (multiplicity 8)
4 S 0.2086 0.2086 0.0000 (multiplicity 4)

Peak list (12 most intense, 5 to 70 degrees two-theta, in order of falling intensity)
h k l, two_theta, d [Å], I_rel
1 1 0, 20.26, 4.382, 100
2 1 3, 39.73, 2.269, 78
1 0 3, 26.77, 3.331, 55
3 0 3, 49.81, 1.831, 33
2 2 0, 41.20, 2.191, 24
1 1 6, 50.70, 1.801, 19
1 1 3, 30.47, 2.934, 17
3 1 0, 46.33, 1.960, 13
4 1 3, 66.57, 1.405, 13
3 1 6, 67.30, 1.391, 13
1 0 1, 16.14, 5.492, 12
2 2 6, 63.41, 1.467, 12



(4)
Simulated X-ray powder pattern of Pm2Y7Er2 for Cu Kα (weighted mean of Kα1 and Kα2), from DFT lattice parameters and positions (GGA-PBE).

Structural model:
Unit cell a=8.9626 b=9.5122 c=8.7186 alpha=90.00 beta=102.19 gamma=90.00
Space group C2/m (No. 12)
Symmetry-distinct sites (fractional):
1 Pm 0.0000 0.1774 0.0000 (multiplicity 4)
2 Y 0.0000 0.5000 0.5000 (multiplicity 2)
3 Y 0.1503 0.5000 0.9060 (multiplicity 4)
4 Y 0.2361 0.1822 0.7053 (multiplicity 8)
5 Er 0.1047 0.0000 0.3543 (multiplicity 4)

Peak list (12 most intense, 5 to 70 degrees two-theta, in order of falling intensity)
h k l, two_theta, d [Å], I_rel
1 3 1, 32.52, 2.753, 100
3 1 -1, 31.65, 2.827, 79
2 2 -2, 32.12, 2.787, 68
1 1 -3, 32.41, 2.763, 65
2 0 2, 32.26, 2.775, 58
2 2 1, 31.17, 2.870, 44
1 3 -2, 35.49, 2.530, 38
3 5 -1, 57.62, 1.600, 32
1 1 0, 13.74, 6.444, 31
0 0 3, 31.49, 2.841, 29
1 3 4, 54.73, 1.677, 25
4 2 0, 45.60, 1.989, 21



(5)
Simulated X-ray powder pattern of Ba2Sr2CaTi5O15 for Cu Kα (weighted mean of Kα1 and Kα2), from DFT lattice parameters and positions (GGA-PBE).

Structural model:
Unit cell a=8.8933 b=3.9396 c=9.1436 alpha=90.00 beta=92.02 gamma=90.00
Space group Pm (No. 6)
Symmetry-distinct sites (fractional):
1 Ba 0.0000 0.0000 0.0000 (multiplicity 1)
2 Ba 0.2022 0.0000 0.6010 (multiplicity 1)
3 Sr 0.3980 0.0000 0.2125 (multiplicity 1)
4 Sr 0.5970 0.0000 0.8156 (multiplicity 1)
5 Ca 0.7853 0.0000 0.4328 (multiplicity 1)
6 Ti 0.0919 0.5000 0.3070 (multiplicity 1)
7 Ti 0.3042 0.5000 0.9134 (multiplicity 1)
8 Ti 0.5016 0.5000 0.5069 (multiplicity 1)
9 Ti 0.6968 0.5000 0.1158 (multiplicity 1)
10 Ti 0.8951 0.5000 0.7042 (multiplicity 1)
11 O 0.0021 0.5000 0.4825 (multiplicity 1)
12 O 0.1029 0.5000 0.7915 (multiplicity 1)
13 O 0.1119 0.0000 0.2905 (multiplicity 1)
14 O 0.2153 0.5000 0.0907 (multiplicity 1)
15 O 0.3103 0.5000 0.3927 (multiplicity 1)
16 O 0.3113 0.0000 0.8922 (multiplicity 1)
17 O 0.4224 0.5000 0.6905 (multiplicity 1)
18 O 0.5066 0.5000 0.9930 (multiplicity 1)
19 O 0.5172 0.0000 0.4870 (multiplicity 1)
20 O 0.6074 0.5000 0.2898 (multiplicity 1)
21 O 0.7006 0.0000 0.0910 (multiplicity 1)
22 O 0.7143 0.5000 0.5735 (multiplicity 1)
23 O 0.7972 0.5000 0.8770 (multiplicity 1)
24 O 0.8980 0.0000 0.6807 (multiplicity 1)
25 O 0.9063 0.5000 0.1884 (multiplicity 1)

Peak list (12 most intense, 5 to 70 degrees two-theta, in order of falling intensity)
h k l, two_theta, d [Å], I_rel
3 0 -1, 31.40, 2.849, 100
2 1 1, 32.12, 2.787, 48
0 2 0, 46.06, 1.970, 37
5 1 0, 56.81, 1.621, 36
3 1 -1, 39.01, 2.309, 31
2 2 -4, 65.53, 1.424, 20
2 0 -4, 43.92, 2.061, 19
4 1 -3, 55.44, 1.657, 19
4 2 2, 67.19, 1.393, 10
2 0 1, 22.56, 3.941, 6
1 0 0, 9.95, 8.888, 6
1 0 -2, 21.55, 4.123, 3



(6)
Simulated X-ray powder pattern of Ho3ErTl5 for Cu Kα (weighted mean of Kα1 and Kα2), from DFT lattice parameters and positions (GGA-PBE).

Structural model:
Unit cell a=9.3032 b=9.3032 c=6.5613 alpha=90.00 beta=90.00 gamma=120.00
Space group P6_3/mcm (No. 193)
Symmetry-distinct sites (fractional):
1 Ho 0.0000 0.3687 0.2500 (multiplicity 6)
2 Er 0.0000 0.0000 0.0000 (multiplicity 2)
3 Tl 0.0000 0.2982 0.7500 (multiplicity 6)
4 Tl 0.3333 0.6667 0.0000 (multiplicity 4)

Peak list (12 most intense, 5 to 70 degrees two-theta, in order of falling intensity)
h k l, two_theta, d [Å], I_rel
3 0 0, 33.39, 2.683, 100
3 3 0, 59.66, 1.550, 21
2 2 2, 47.95, 1.897, 16
3 0 4, 66.83, 1.400, 13
2 1 1, 32.41, 2.762, 11
2 1 3, 51.40, 1.778, 6
5 1 1, 66.14, 1.413, 5
0 0 4, 56.07, 1.640, 5
4 2 1, 62.63, 1.483, 5
3 1 1, 42.75, 2.115, 4
0 0 2, 27.18, 3.281, 3
3 0 2, 43.55, 2.078, 3